The following is a calculated powder X-ray diffraction pattern of TeMoWSe2S. It was derived from the PBE geometry in Alexandria, using Cu Kα.

Atomic structure:
```
TeMoWSe2S
1.0
3.3400 0.0000 0.0000
-1.6700 2.8925 0.0000
0.0000 0.0000 33.7408
Te Mo W Se S
2 2 2 4 2
Cartesian
0.0000 0.0000 0.0000
0.0000 0.0000 3.7972
0.0000 0.0000 28.1984
1.6700 0.9642 1.8988
0.0000 0.0000 9.4360
1.6700 0.9642 21.0890
1.6700 0.9642 7.7597
1.6700 0.9642 11.1118
1.6700 0.9642 26.5307
1.6700 0.9642 29.8664
0.0000 0.0000 19.5661
0.0000 0.0000 22.6118
```

Peak list (8 most intense, 2θ from 10° to 90°, sorted by position)
2θ = 10.49°, rel. 91; 2θ = 13.12°, rel. 44; 2θ = 15.76°, rel. 19; 2θ = 30.91°, rel. 42; 2θ = 36.22°, rel. 100; 2θ = 42.98°, rel. 53; 2θ = 44.96°, rel. 23; 2θ = 54.99°, rel. 34